Computed XRD peak list
Compound: Mg4Ga3Au2
Radiation: Cu Kα (weighted mean of Kα1 and Kα2)
Structure: a structure optimized by DFT (GGA-PBE)
No peak broadening, texture or thermal motion is included.

Cell and atoms:
```
data_Mg4Ga3Au2
_chemical_formula_sum 'Mg4 Ga3 Au2'
_symmetry_space_group_name_H-M 'P -1'
_symmetry_Int_Tables_number 2
_cell_length_a 4.5277
_cell_length_b 5.5460
_cell_length_c 7.5488
_cell_angle_alpha 108.84
_cell_angle_beta 101.24
_cell_angle_gamma 92.96
loop_
_symmetry_equiv_pos_as_xyz
'x,y,z'
'-x,-y,-z'
loop_
_atom_site_label
_atom_site_fract_x
_atom_site_fract_y
_atom_site_fract_z
Mg1 0.0976 0.3468 0.1432
Mg2 0.2765 0.7679 0.5805
Ga1 0.3300 0.3305 0.7019
Ga2 0.5000 0.0000 0.0000
Au1 0.1579 0.9047 0.2485
```

Main lines, most intense first (10 to 80 degrees two-theta):
two_theta	Rel. int.	(hkl)
17.02	100.0	0 1 0
25.58	83.0	0 0 2
42.47	67.3	1 2 0
27.35	65.9	1 -1 1
24.58	61.2	0 1 1
40.06	60.3	2 0 -1
40.20	58.6	1 2 -2
37.64	51.2	1 -2 1